For Sm2Ho2CBr4Cl, a structure optimized by DFT (PBE) gives the computed X-ray powder pattern in this record (λ = 1.5418 Å (Cu Kα)).
Kinematic intensities with the Lorentz-polarization factor, no thermal factor.

Peak list (10 most intense, 10° ≤ 2θ ≤ 90°, by angle)
2θ (°)  intensity
10.1  14
11.3  68
30.6  40
31.4  20
32.3  100
33.9  29
34.7  39
41.2  15
45.1  66
47.4  18

Structure:
abc: 9.196 9.196 8.044
angles: 102.50 102.50 24.07
Atoms (fractional coordinates):
Sm: 0.001 0.001 0.288
Sm: 0.999 0.999 0.712
Ho: 0.364 0.364 0.427
Ho: 0.636 0.636 0.573
C: 0.500 0.500 0.500
Br: 0.166 0.166 0.841
Br: 0.172 0.172 0.335
Br: 0.828 0.828 0.665
Br: 0.834 0.834 0.159
Cl: 0.500 0.500 0.000


For NdCdInTe3, a structure optimized by DFT (PBE) gives the computed X-ray powder pattern in this record (λ = 1.5418 Å (Cu Kα)).
Kinematic intensities with the Lorentz-polarization factor, no thermal factor.

Peak list (10 most intense, 10° ≤ 2θ ≤ 90°, by angle)
2θ (°)  intensity
11.6  30
24.9  35
27.2  17
27.3  100
30.1  24
30.2  57
31.8  51
38.5  42
39.7  37
51.7  15

Structure:
abc: 15.281 4.544 12.110
angles: 90.00 90.00 90.00
Atoms (fractional coordinates):
Nd: 0.028 0.250 0.158
Nd: 0.472 0.750 0.658
Nd: 0.528 0.250 0.342
Nd: 0.972 0.750 0.842
Cd: 0.020 0.750 0.397
Cd: 0.480 0.250 0.897
Cd: 0.520 0.750 0.103
Cd: 0.980 0.250 0.603
In: 0.242 0.250 0.458
In: 0.258 0.750 0.958
In: 0.742 0.250 0.042
In: 0.758 0.750 0.542
Te: 0.097 0.750 0.620
Te: 0.106 0.250 0.919
Te: 0.159 0.750 0.240
Te: 0.341 0.250 0.740
Te: 0.394 0.750 0.419
Te: 0.403 0.250 0.120
Te: 0.597 0.750 0.880
Te: 0.606 0.250 0.581
Te: 0.659 0.750 0.260
Te: 0.841 0.250 0.760
Te: 0.894 0.750 0.081
Te: 0.903 0.250 0.380


For Er2Sc2BI5, a structure optimized by DFT (PBE) gives the computed X-ray powder pattern in this record (λ = 1.5418 Å (Cu Kα)).
Kinematic intensities with the Lorentz-polarization factor, no thermal factor.

Peak list (10 most intense, 10° ≤ 2θ ≤ 90°, by angle)
2θ (°)  intensity
21.4  30
23.0  37
26.4  60
31.0  100
31.7  18
38.7  21
41.1  30
41.3  31
46.1  19
53.9  17

Structure:
abc: 10.506 10.506 8.470
angles: 101.37 101.37 21.61
Atoms (fractional coordinates):
Er: 0.000 0.000 0.196
Er: 0.000 0.000 0.804
Sc: 0.385 0.385 0.943
Sc: 0.615 0.615 0.057
B: 0.500 0.500 0.000
I: 0.154 0.154 0.318
I: 0.154 0.154 0.832
I: 0.500 0.500 0.500
I: 0.846 0.846 0.168
I: 0.846 0.846 0.682


For Pr3Ga2Ni6, a structure optimized by DFT (PBE) gives the computed X-ray powder pattern in this record (λ = 1.5418 Å (Cu Kα)).
Kinematic intensities with the Lorentz-polarization factor, no thermal factor.

Peak list (10 most intense, 10° ≤ 2θ ≤ 90°, by angle)
2θ (°)  intensity
24.0  15
31.1  33
34.1  42
37.0  28
39.6  27
42.1  100
55.3  14
63.0  17
68.4  22
77.0  25

Structure:
abc: 7.878 7.878 7.878
angles: 109.47 109.47 109.47
Atoms (fractional coordinates):
Pr: 0.000 0.289 0.289
Pr: 0.000 0.711 0.711
Pr: 0.289 0.000 0.289
Pr: 0.289 0.289 0.000
Pr: 0.711 0.000 0.711
Pr: 0.711 0.711 0.000
Ga: 0.000 0.000 0.500
Ga: 0.000 0.500 0.000
Ga: 0.500 0.000 0.000
Ga: 0.500 0.500 0.500
Ni: 0.000 0.336 0.664
Ni: 0.000 0.664 0.336
Ni: 0.328 0.664 0.664
Ni: 0.336 0.000 0.664
Ni: 0.336 0.336 0.672
Ni: 0.336 0.664 0.000
Ni: 0.336 0.672 0.336
Ni: 0.664 0.000 0.336
Ni: 0.664 0.328 0.664
Ni: 0.664 0.336 0.000
Ni: 0.664 0.664 0.328
Ni: 0.672 0.336 0.336


For Ta3W, a structure optimized by DFT (PBE) gives the computed X-ray powder pattern in this record (λ = 1.5418 Å (Cu Kα)).
Kinematic intensities with the Lorentz-polarization factor, no thermal factor.

Peak list (4 most intense, 10° ≤ 2θ ≤ 90°, by angle)
2θ (°)  intensity
38.9  100
56.2  17
70.4  36
83.5  11

Structure:
abc: 6.552 6.552 6.552
angles: 90.00 90.00 90.00
Atoms (fractional coordinates):
Ta: 0.000 0.000 0.000
Ta: 0.000 0.500 0.500
Ta: 0.250 0.250 0.250
Ta: 0.250 0.250 0.750
Ta: 0.250 0.750 0.250
Ta: 0.250 0.750 0.750
Ta: 0.500 0.000 0.500
Ta: 0.500 0.500 0.000
Ta: 0.750 0.250 0.250
Ta: 0.750 0.250 0.750
Ta: 0.750 0.750 0.250
Ta: 0.750 0.750 0.750
W: 0.000 0.000 0.500
W: 0.000 0.500 0.000
W: 0.500 0.000 0.000
W: 0.500 0.500 0.500


For HgIr, a structure optimized by DFT (PBE) gives the computed X-ray powder pattern in this record (λ = 1.5418 Å (Cu Kα)).
Kinematic intensities with the Lorentz-polarization factor, no thermal factor.

Peak list (10 most intense, 10° ≤ 2θ ≤ 90°, by angle)
2θ (°)  intensity
35.5  24
38.2  26
40.5  100
53.2  15
63.8  18
70.7  20
76.9  21
78.3  15
81.9  3
87.6  4

Structure:
abc: 2.919 2.919 4.707
angles: 90.00 90.00 120.00
Atoms (fractional coordinates):
Hg: 0.000 0.000 0.000
Ir: 0.667 0.333 0.500


For PdAu3, a structure optimized by DFT (PBE) gives the computed X-ray powder pattern in this record (λ = 1.5418 Å (Cu Kα)).
Kinematic intensities with the Lorentz-polarization factor, no thermal factor.

Peak list (10 most intense, 10° ≤ 2θ ≤ 90°, by angle)
2θ (°)  intensity
35.8  22
36.2  12
37.3  41
40.6  100
40.9  47
52.7  15
64.9  17
69.5  21
77.3  21
79.0  14

Structure:
abc: 4.819 5.805 4.965
angles: 90.00 90.00 90.00
Atoms (fractional coordinates):
Pd: 0.250 0.250 0.170
Pd: 0.750 0.750 0.830
Au: 0.250 0.000 0.670
Au: 0.250 0.500 0.670
Au: 0.250 0.750 0.165
Au: 0.750 0.000 0.330
Au: 0.750 0.250 0.835
Au: 0.750 0.500 0.330


For Zr4W3, a structure optimized by DFT (PBE) gives the computed X-ray powder pattern in this record (λ = 1.5418 Å (Cu Kα)).
Kinematic intensities with the Lorentz-polarization factor, no thermal factor.

Peak list (10 most intense, 10° ≤ 2θ ≤ 90°, by angle)
2θ (°)  intensity
11.4  23
13.0  14
37.3  64
37.5  100
38.1  31
53.3  10
54.6  22
67.6  16
67.7  11
68.6  10

Structure:
abc: 7.299 4.795 8.320
angles: 90.00 110.59 90.00
Atoms (fractional coordinates):
Zr: 0.074 0.250 0.094
Zr: 0.100 0.750 0.626
Zr: 0.195 0.750 0.303
Zr: 0.365 0.250 0.547
Zr: 0.635 0.750 0.453
Zr: 0.805 0.250 0.697
Zr: 0.900 0.250 0.374
Zr: 0.926 0.750 0.906
W: 0.240 0.250 0.838
W: 0.374 0.750 0.031
W: 0.492 0.250 0.231
W: 0.508 0.750 0.769
W: 0.626 0.250 0.969
W: 0.760 0.750 0.162